For PmAgSO4, a structure optimized by DFT (PBE) gives the computed X-ray diffraction stick pattern in this record (Cu Kα X-rays).

Principal peaks in the range 15° ≤ 2θ ≤ 90°, by angle:
Position (°2θ), Rel. int.
16.07, 85
29.11, 100
32.49, 68
34.35, 49
34.69, 36
42.70, 20
45.60, 29
49.51, 17
56.75, 30
60.43, 17

Lattice parameters (Å, degrees): 6.664 6.664 6.664 112.89 112.52 103.19
Atoms (fractional coordinates):
1 Pm 0.500 0.000 0.000
2 Pm 0.500 0.500 0.500
3 Ag 0.000 0.000 0.000
4 Ag 0.500 0.000 0.500
5 S 0.098 0.348 0.750
6 S 0.902 0.652 0.250
7 O 0.201 0.286 0.584
8 O 0.201 0.617 0.916
9 O 0.298 0.246 0.052
10 O 0.306 0.754 0.552
11 O 0.694 0.246 0.448
12 O 0.702 0.754 0.948
13 O 0.799 0.383 0.084
14 O 0.799 0.714 0.416